This entry pairs a crystal structure of Ho8Er4Mg with its calculated XRD peak list. Radiation: Cu Kα. Structure: a DFT-relaxed cell (PBE, Alexandria).

The 10 most intense peaks (2θ from 10° to 90°), by angle:
2θ/deg, I_rel
28.16, 34.2
29.41, 23.8
31.88, 100.0
33.27, 47.6
38.83, 33.8
51.27, 18.1
51.85, 30.5
60.05, 26.7
62.16, 14.4
85.14, 11.7

Cell and atoms:
Cell: 7.0537 7.0537 28.5184 Å, 90.00 90.00 120.00°
Space group R-3m (No. 166, hexagonal axes)
One atom of each set of equivalent atoms:
Ho1 0.0000 0.0000 0.2122 x6
Ho2 0.0171 0.5086 0.7626 x18
Er1 0.0000 0.0000 0.0000 x3
Er2 0.0000 0.5000 0.0000 x9
Mg1 0.0000 0.0000 0.5000 x3